Record 1
# ErB4Rh
Calculated powder X-ray diffraction pattern, a wavelength of 1.5418 Å. Input: a GGA-PBE-relaxed structure.
No peak broadening, texture or thermal motion is included.

Main lines, by angle (2θ from 10° to 90°):
two_theta  I (rel.)
25.06  75
31.06  84
34.59  17
37.65  18
38.29  19
40.32  100
43.19  22
46.31  27
51.42  17
61.31  25

Atomic structure:
```
data_ErB4Rh
_cell_length_a 5.942
_cell_length_b 11.529
_cell_length_c 3.554
_cell_angle_alpha 90.00
_cell_angle_beta 90.00
_cell_angle_gamma 90.00
_symmetry_space_group_name_H-M 'P b a m'
_symmetry_Int_Tables_number 55
loop_
_symmetry_equiv_pos_as_xyz
'x,y,z'
'-x,-y,-z'
'-x,-y,z'
'x,y,-z'
'x+1/2,-y+1/2,-z'
'-x+1/2,y+1/2,z'
'-x+1/2,y+1/2,-z'
'x+1/2,-y+1/2,z'
loop_
_atom_site_label
_atom_site_fract_x
_atom_site_fract_y
_atom_site_fract_z
Er1 0.131 0.149 0.000
B1 0.022 0.693 0.500
B2 0.113 0.547 0.500
B3 0.136 0.969 0.500
B4 0.209 0.813 0.500
Rh1 0.143 0.405 0.000
```

Record 2
# SbHC2O5
Calculated powder X-ray diffraction pattern, a wavelength of 1.5418 Å. Input: a GGA-PBE-relaxed structure.
No peak broadening, texture or thermal motion is included.

Main lines, by angle (2θ from 10° to 90°):
two_theta  I (rel.)
15.58  47
20.09  51
21.57  100
27.46  35
31.08  45
31.46  19
38.13  22
44.81  31
47.35  18
50.17  23

Atomic structure:
```
data_SbHC2O5
_cell_length_a 6.030
_cell_length_b 6.496
_cell_length_c 11.376
_cell_angle_alpha 90.00
_cell_angle_beta 90.00
_cell_angle_gamma 90.00
_symmetry_space_group_name_H-M 'P 21 21 21'
_symmetry_Int_Tables_number 19
loop_
_symmetry_equiv_pos_as_xyz
'x,y,z'
'-x+1/2,-y,z+1/2'
'x+1/2,-y+1/2,-z'
'-x,y+1/2,-z+1/2'
loop_
_atom_site_label
_atom_site_fract_x
_atom_site_fract_y
_atom_site_fract_z
Sb1 0.072 0.016 0.000
H1 0.103 0.397 0.036
C1 0.144 0.051 0.273
C2 0.144 0.052 0.726
O1 0.002 0.603 0.700
O2 0.002 0.606 0.299
O3 0.128 0.073 0.385
O4 0.133 0.083 0.616
O5 0.211 0.299 0.002
```

Record 3
# BaBiO3
Calculated powder X-ray diffraction pattern, a wavelength of 1.5418 Å. Input: a GGA-PBE-relaxed structure.
No peak broadening, texture or thermal motion is included.

Main lines, by angle (2θ from 10° to 90°):
two_theta  I (rel.)
28.39  19
28.59  100
40.75  22
40.99  10
50.30  9
50.49  14
50.68  21
50.76  9
59.27  10
81.68  9

Atomic structure:
```
data_BaBiO3
_cell_length_a 10.797
_cell_length_b 6.239
_cell_length_c 6.288
_cell_angle_alpha 90.00
_cell_angle_beta 125.35
_cell_angle_gamma 90.00
_symmetry_space_group_name_H-M 'C 1 2/m 1'
_symmetry_Int_Tables_number 12
loop_
_symmetry_equiv_pos_as_xyz
'x,y,z'
'-x,-y,-z'
'-x,y,-z'
'x,-y,z'
'x+1/2,y+1/2,z'
'-x+1/2,-y+1/2,-z'
'-x+1/2,y+1/2,-z'
'x+1/2,-y+1/2,z'
loop_
_atom_site_label
_atom_site_fract_x
_atom_site_fract_y
_atom_site_fract_z
Ba1 0.250 0.000 0.242
Bi1 0.000 0.000 0.500
Bi2 0.000 0.500 0.000
O1 0.042 0.256 0.800
O2 0.242 0.500 0.316
```

Question: Number 3 is which compound?
Answer: BaBiO3